The following is a theoretical powder diffractogram of Fe4H14O13. It was derived from the PBE+U geometry in Alexandria, using CuKα.

Largest 8 diffraction maxima, by intensity, 15 to 90 degrees two-theta:
h k l  d/Å  2theta  I/Imax
-1 1 1  3.898  22.81  100
1 1 -1  3.866  23.00  91
1 -1 1  3.834  23.20  83
2 -2 0  2.733  32.76  55
0 2 -2  2.722  32.90  54
0 2 0  2.745  32.62  44
1 1 1  2.232  40.41  34
-1 1 3  1.740  52.61  31

```
data_Fe4H14O13
_chemical_formula_sum 'Fe4 H14 O13'
_cell_length_a 6.6874
_cell_length_b 6.6966
_cell_length_c 6.6987
_cell_angle_alpha 108.81
_cell_angle_beta 110.11
_cell_angle_gamma 109.42
_space_group_name_H-M_alt 'P 1'
_space_group_IT_number 1
loop_
_space_group_symop_operation_xyz
'x,y,z'
loop_
_atom_site_label
_atom_site_type_symbol
_atom_site_fract_x
_atom_site_fract_y
_atom_site_fract_z
Fe1 Fe 0.0000 0.0000 0.0000
Fe2 Fe 0.0019 0.5099 0.5074
Fe3 Fe 0.4944 0.0012 0.4994
Fe4 Fe 0.4976 0.5042 0.0008
H1 H 0.0454 0.3630 0.8174
H2 H 0.1288 0.1902 0.4490
H3 H 0.1926 0.7414 0.0520
H4 H 0.2285 0.0542 0.6798
H5 H 0.4039 0.8467 0.7485
H6 H 0.4423 0.1124 0.0470
H7 H 0.4529 0.3392 0.2881
H8 H 0.5482 0.6752 0.7294
H9 H 0.6736 0.0723 0.1145
H10 H 0.6947 0.4530 0.6491
H11 H 0.7604 0.9451 0.3259
H12 H 0.8154 0.2693 0.9569
H13 H 0.8507 0.8112 0.5516
H14 H 0.9533 0.6354 0.1875
O1 O 0.1749 0.4991 0.8243
O2 O 0.1769 0.8558 0.1780
O3 O 0.3325 0.2927 0.1199
O4 O 0.3332 0.7296 0.5651
O5 O 0.3534 0.1832 0.6757
O6 O 0.4958 0.9898 0.0088
O7 O 0.6348 0.8177 0.3295
O8 O 0.6779 0.6817 0.8671
O9 O 0.6787 0.3256 0.5062
O10 O 0.8193 0.1432 0.8300
O11 O 0.8228 0.5015 0.1829
O12 O 0.9932 0.8238 0.6832
O13 O 0.9955 0.1863 0.3159
```